Tb2TmAs3: computed X-ray diffraction stick pattern (Cu Kα), based on a structure optimized by DFT (PBE).
Kinematic intensities with the Lorentz-polarization factor, no thermal factor.

Top 8 peaks for 2θ = 10–80°, in order of rising 2θ:
d (Å)  2θ/deg  Rel. int.
3.359  26.54  23
2.909  30.73  100
2.057  44.02  75
1.754  52.14  11
1.680  54.65  26
1.455  64.01  12
1.335  70.56  5
1.301  72.68  34

Cell and atoms:
a = 9.1997 Å, b = 9.1997 Å, c = 9.1997 Å
α = 154.16°, β = 154.16°, γ = 36.87°
Atoms (fractional coordinates):
Tb: 0.1666 0.1666 0.0000
Tb: 0.8334 0.8334 0.0000
Tm: 0.5000 0.5000 0.0000
As: 0.0000 0.0000 0.0000
As: 0.3346 0.3346 0.0000
As: 0.6654 0.6654 0.0000



Tb2UAs3: computed X-ray diffraction stick pattern (Cu Kα), based on a structure optimized by DFT (PBE).
Kinematic intensities with the Lorentz-polarization factor, no thermal factor.

Top 10 peaks for 2θ = 10–80°, in order of rising 2θ:
d (Å)  2θ/deg  Rel. int.
3.360  26.52  40
2.914  30.68  89
2.903  30.80  44
2.058  44.00  100
1.757  52.06  14
1.752  52.22  7
1.680  54.62  35
1.457  63.89  11
1.303  72.57  31
1.299  72.80  15

Cell and atoms:
a = 9.1832 Å, b = 9.1832 Å, c = 9.1832 Å
α = 154.07°, β = 154.07°, γ = 37.00°
Atoms (fractional coordinates):
Tb: 0.1678 0.1678 0.0000
Tb: 0.8322 0.8322 0.0000
U: 0.5000 0.5000 0.0000
As: 0.0000 0.0000 0.0000
As: 0.3352 0.3352 0.0000
As: 0.6648 0.6648 0.0000



TbU2As3: computed X-ray diffraction stick pattern (Cu Kα), based on a structure optimized by DFT (PBE).
Kinematic intensities with the Lorentz-polarization factor, no thermal factor.

Top 10 peaks for 2θ = 10–80°, in order of rising 2θ:
d (Å)  2θ/deg  Rel. int.
3.347  26.63  38
2.899  30.85  100
2.050  44.17  63
2.046  44.28  13
1.749  52.31  13
1.676  54.79  13
1.672  54.93  13
1.449  64.27  13
1.297  72.92  18
1.296  73.01  12

Cell and atoms:
a = 5.7983 Å, b = 12.3192 Å, c = 8.1832 Å
α = 90.00°, β = 90.06°, γ = 90.00°
Atoms (fractional coordinates):
Tb: 0.2496 0.0824 0.1242
Tb: 0.2496 0.4176 0.6242
Tb: 0.7504 0.5824 0.3758
Tb: 0.7504 0.9176 0.8758
U: 0.2494 0.0837 0.6236
U: 0.2494 0.4163 0.1236
U: 0.2509 0.7490 0.6246
U: 0.2509 0.7510 0.1246
U: 0.7491 0.2490 0.8754
U: 0.7491 0.2510 0.3754
U: 0.7506 0.5837 0.8764
U: 0.7506 0.9163 0.3764
As: 0.2491 0.2492 0.8744
As: 0.2491 0.2508 0.3744
As: 0.2503 0.5844 0.3720
As: 0.2503 0.9156 0.8720
As: 0.2506 0.5839 0.8756
As: 0.2506 0.9161 0.3756
As: 0.7494 0.0839 0.6244
As: 0.7494 0.4161 0.1244
As: 0.7497 0.0844 0.1280
As: 0.7497 0.4156 0.6280
As: 0.7509 0.7492 0.6256
As: 0.7509 0.7508 0.1256



TbVAs3: computed X-ray diffraction stick pattern (Cu Kα), based on a structure optimized by DFT (PBE).
Kinematic intensities with the Lorentz-polarization factor, no thermal factor.

Top 10 peaks for 2θ = 10–80°, in order of rising 2θ:
d (Å)  2θ/deg  Rel. int.
3.787  23.49  40
3.334  26.74  31
2.591  34.62  63
2.524  35.57  43
2.438  36.88  23
2.420  37.15  100
2.340  38.47  22
2.291  39.34  24
1.992  45.54  54
1.524  60.79  26

Cell and atoms:
a = 12.1877 Å, b = 5.7254 Å, c = 5.5467 Å
α = 90.00°, β = 90.00°, γ = 90.00°
Atoms (fractional coordinates):
Tb: 0.1857 0.0038 0.2500
Tb: 0.1857 0.4962 0.7500
Tb: 0.8143 0.5038 0.2500
Tb: 0.8143 0.9962 0.7500
V: 0.4128 0.7500 0.0000
V: 0.4128 0.7500 0.5000
V: 0.5872 0.2500 0.0000
V: 0.5872 0.2500 0.5000
As: 0.0012 0.7500 0.0000
As: 0.0012 0.7500 0.5000
As: 0.2812 0.5018 0.2500
As: 0.2812 0.9982 0.7500
As: 0.4261 0.1131 0.2500
As: 0.4261 0.3869 0.7500
As: 0.5739 0.6131 0.2500
As: 0.5739 0.8869 0.7500
As: 0.7188 0.0018 0.2500
As: 0.7188 0.4982 0.7500
As: 0.9988 0.2500 0.0000
As: 0.9988 0.2500 0.5000



Tb3Y5As8: computed X-ray diffraction stick pattern (Cu Kα), based on a structure optimized by DFT (PBE).
Kinematic intensities with the Lorentz-polarization factor, no thermal factor.

Top 10 peaks for 2θ = 10–80°, in order of rising 2θ:
d (Å)  2θ/deg  Rel. int.
6.743  13.13  5
3.521  25.29  3
3.371  26.44  8
2.920  30.62  100
2.679  33.44  2
2.065  43.85  74
1.761  51.94  4
1.686  54.43  26
1.460  63.75  12
1.306  72.37  33

Cell and atoms:
a = 8.2581 Å, b = 8.2581 Å, c = 8.2581 Å
α = 60.00°, β = 60.00°, γ = 60.00°
Atoms (fractional coordinates):
Tb: 0.0000 0.5000 0.5000
Tb: 0.5000 0.0000 0.5000
Tb: 0.5000 0.5000 0.0000
Y: 0.0000 0.0000 0.0000
Y: 0.0000 0.0000 0.5000
Y: 0.0000 0.5000 0.0000
Y: 0.5000 0.0000 0.0000
Y: 0.5000 0.5000 0.5000
As: 0.2498 0.2498 0.2498
As: 0.2500 0.2500 0.7503
As: 0.2500 0.7503 0.2500
As: 0.2497 0.7500 0.7500
As: 0.7503 0.2500 0.2500
As: 0.7500 0.2497 0.7500
As: 0.7500 0.7500 0.2497
As: 0.7502 0.7502 0.7502



Tb4YAs5: computed X-ray diffraction stick pattern (Cu Kα), based on a structure optimized by DFT (PBE).
Kinematic intensities with the Lorentz-polarization factor, no thermal factor.

Top 10 peaks for 2θ = 10–80°, in order of rising 2θ:
d (Å)  2θ/deg  Rel. int.
6.541  13.54  1
4.945  17.94  2
3.378  26.39  18
2.925  30.56  100
2.068  43.77  74
1.764  51.83  9
1.689  54.32  26
1.463  63.62  12
1.342  70.11  4
1.308  72.22  33

Cell and atoms:
a = 7.1650 Å, b = 7.1650 Å, c = 7.1650 Å
α = 99.60°, β = 99.60°, γ = 131.81°
Atoms (fractional coordinates):
Tb: 0.0999 0.2999 0.3998
Tb: 0.2999 0.9001 0.2000
Tb: 0.7001 0.0999 0.8000
Tb: 0.9001 0.7001 0.6002
Y: 0.5000 0.5000 0.0000
As: 0.0000 0.0000 0.0000
As: 0.2003 0.5999 0.8002
As: 0.4001 0.2003 0.6003
As: 0.5999 0.7997 0.3997
As: 0.7997 0.4001 0.1998



TbZnAs: computed X-ray diffraction stick pattern (Cu Kα), based on a structure optimized by DFT (PBE).
Kinematic intensities with the Lorentz-polarization factor, no thermal factor.

Top 10 peaks for 2θ = 10–80°, in order of rising 2θ:
d (Å)  2θ/deg  Rel. int.
4.034  22.04  53
3.859  23.05  22
3.343  26.66  15
3.068  29.11  36
2.573  34.87  67
2.365  38.05  100
2.016  44.97  32
1.741  52.57  49
1.402  66.70  14
1.365  68.77  27

Cell and atoms:
a = 8.1845 Å, b = 8.1845 Å, c = 8.1845 Å
α = 33.59°, β = 33.59°, γ = 33.59°
Atoms (fractional coordinates):
Tb: 0.0912 0.0912 0.0912
Tb: 0.9088 0.9088 0.9088
Zn: 0.3270 0.3270 0.3270
Zn: 0.6730 0.6730 0.6730
As: 0.2173 0.2173 0.2173
As: 0.7827 0.7827 0.7827



Tb2ZrAs3: computed X-ray diffraction stick pattern (Cu Kα), based on a structure optimized by DFT (PBE).
Kinematic intensities with the Lorentz-polarization factor, no thermal factor.

Top 10 peaks for 2θ = 10–80°, in order of rising 2θ:
d (Å)  2θ/deg  Rel. int.
3.300  27.02  22
2.862  31.25  100
2.849  31.40  49
2.024  44.79  37
2.019  44.89  73
1.725  53.09  7
1.650  55.72  38
1.431  65.20  12
1.279  74.12  33
1.275  74.39  16

Cell and atoms:
a = 9.0129 Å, b = 9.0129 Å, c = 9.0129 Å
α = 154.05°, β = 154.05°, γ = 37.03°
Atoms (fractional coordinates):
Tb: 0.1668 0.1668 0.0000
Tb: 0.8332 0.8332 0.0000
Zr: 0.5000 0.5000 0.0000
As: 0.0000 0.0000 0.0000
As: 0.3380 0.3380 0.0000
As: 0.6620 0.6620 0.0000



TcAs3: computed X-ray diffraction stick pattern (Cu Kα), based on a structure optimized by DFT (PBE).
Kinematic intensities with the Lorentz-polarization factor, no thermal factor.

Top 10 peaks for 2θ = 10–80°, in order of rising 2θ:
d (Å)  2θ/deg  Rel. int.
3.823  23.27  36
2.743  32.65  33
2.582  34.75  46
2.563  35.00  73
2.350  38.30  53
2.217  40.70  54
2.195  41.12  100
1.962  46.27  73
1.942  46.78  66
1.863  48.88  50

Cell and atoms:
a = 6.1493 Å, b = 7.6462 Å, c = 6.0679 Å
α = 90.00°, β = 90.00°, γ = 90.00°
Atoms (fractional coordinates):
Tc: 0.1656 0.2500 0.0190
Tc: 0.3344 0.7500 0.5190
Tc: 0.6656 0.2500 0.4810
Tc: 0.8344 0.7500 0.9810
As: 0.0469 0.2500 0.6214
As: 0.1884 0.5789 0.8686
As: 0.1884 0.9211 0.8686
As: 0.3116 0.0789 0.3686
As: 0.3116 0.4211 0.3686
As: 0.4531 0.7500 0.1214
As: 0.5469 0.2500 0.8786
As: 0.6884 0.5789 0.6314
As: 0.6884 0.9211 0.6314
As: 0.8116 0.0789 0.1314
As: 0.8116 0.4211 0.1314
As: 0.9531 0.7500 0.3786



TcAs: computed X-ray diffraction stick pattern (Cu Kα), based on a structure optimized by DFT (PBE).
Kinematic intensities with the Lorentz-polarization factor, no thermal factor.

Top 10 peaks for 2θ = 10–80°, in order of rising 2θ:
d (Å)  2θ/deg  Rel. int.
2.856  31.32  40
2.842  31.47  28
2.584  34.71  60
2.208  40.87  64
2.121  42.62  53
2.081  43.50  100
2.022  44.83  32
1.931  47.05  27
1.779  51.36  34
1.593  57.87  25

Cell and atoms:
a = 6.0748 Å, b = 3.1869 Å, c = 6.4324 Å
α = 90.00°, β = 90.00°, γ = 90.00°
Atoms (fractional coordinates):
Tc: 0.0112 0.2500 0.1954
Tc: 0.4888 0.7500 0.6954
Tc: 0.5112 0.2500 0.3046
Tc: 0.9888 0.7500 0.8046
As: 0.1940 0.2500 0.5614
As: 0.3060 0.7500 0.0614
As: 0.6940 0.2500 0.9386
As: 0.8060 0.7500 0.4386



Tc4TeAs: computed X-ray diffraction stick pattern (Cu Kα), based on a structure optimized by DFT (PBE).
Kinematic intensities with the Lorentz-polarization factor, no thermal factor.

Top 10 peaks for 2θ = 10–80°, in order of rising 2θ:
d (Å)  2θ/deg  Rel. int.
4.290  20.70  7
3.716  23.95  2
2.627  34.13  27
2.241  40.25  100
2.145  42.12  40
1.858  49.03  5
1.705  53.77  2
1.517  61.09  10
1.430  65.24  31
1.314  71.87  27

Cell and atoms:
a = 5.2546 Å, b = 5.2546 Å, c = 5.2546 Å
α = 60.00°, β = 60.00°, γ = 60.00°
Atoms (fractional coordinates):
Tc: 0.1253 0.1253 0.1253
Tc: 0.1253 0.1253 0.6241
Tc: 0.1253 0.6241 0.1253
Tc: 0.6241 0.1253 0.1253
Te: 0.7500 0.7500 0.7500
As: 0.5000 0.5000 0.5000



Th2TcAs: computed X-ray diffraction stick pattern (Cu Kα), based on a structure optimized by DFT (PBE).
Kinematic intensities with the Lorentz-polarization factor, no thermal factor.

Top 10 peaks for 2θ = 10–80°, in order of rising 2θ:
d (Å)  2θ/deg  Rel. int.
3.430  25.97  17
3.408  26.14  16
2.961  30.18  100
2.105  42.96  13
2.093  43.22  50
2.085  43.39  11
1.715  53.42  14
1.704  53.79  12
1.479  62.82  8
1.323  71.27  16

Cell and atoms:
a = 5.9200 Å, b = 5.9150 Å, c = 13.2098 Å
α = 90.00°, β = 116.07°, γ = 90.00°
Atoms (fractional coordinates):
Th: 0.1118 0.2363 0.1152
Th: 0.1118 0.7637 0.6152
Th: 0.3869 0.2533 0.8651
Th: 0.3869 0.7467 0.3651
Th: 0.6131 0.2533 0.6349
Th: 0.6131 0.7467 0.1349
Th: 0.8882 0.2363 0.3848
Th: 0.8882 0.7637 0.8848
Tc: 0.1209 0.2542 0.6257
Tc: 0.1209 0.7458 0.1257
Tc: 0.8791 0.2542 0.8743
Tc: 0.8791 0.7458 0.3743
As: 0.3781 0.2468 0.3752
As: 0.3781 0.7532 0.8752
As: 0.6219 0.2468 0.1248
As: 0.6219 0.7532 0.6248